Diffraction record for Li4V3Cr2Fe3O16. The X-ray powder pattern is theoretical, not measured: it uses a DFT-relaxed cell (PBE+U, Alexandria) and a wavelength of 1.5418 Å.

Structure:
```
data_Li4V3Cr2Fe3O16
_cell_length_a 5.907
_cell_length_b 5.907
_cell_length_c 9.577
_cell_angle_alpha 91.00
_cell_angle_beta 91.00
_cell_angle_gamma 60.46
_symmetry_space_group_name_H-M 'P 1'
_symmetry_Int_Tables_number 1
loop_
_symmetry_equiv_pos_as_xyz
'x,y,z'
loop_
_atom_site_label
_atom_site_type_symbol
_atom_site_fract_x
_atom_site_fract_y
_atom_site_fract_z
Li1 Li 0.000 0.000 0.000
Li2 Li 0.008 0.008 0.499
Li3 Li 0.345 0.345 0.100
Li4 Li 0.674 0.674 0.603
V1 V 0.173 0.667 0.781
V2 V 0.667 0.173 0.781
V3 V 0.838 0.838 0.283
Cr1 Cr 0.337 0.337 0.510
Cr2 Cr 0.671 0.671 0.012
Fe1 Fe 0.174 0.174 0.786
Fe2 Fe 0.346 0.840 0.282
Fe3 Fe 0.840 0.346 0.282
O1 O 0.003 0.003 0.685
O2 O 0.049 0.494 0.656
O3 O 0.155 0.677 0.391
O4 O 0.170 0.170 0.397
O5 O 0.328 0.831 0.895
O6 O 0.345 0.345 0.892
O7 O 0.486 0.486 0.656
O8 O 0.494 0.049 0.656
O9 O 0.529 0.529 0.155
O10 O 0.544 0.967 0.156
O11 O 0.677 0.155 0.391
O12 O 0.686 0.686 0.393
O13 O 0.831 0.328 0.895
O14 O 0.839 0.839 0.887
O15 O 0.967 0.544 0.156
O16 O 0.999 0.999 0.186
```

The 12 most intense peaks (10 to 80 degrees two-theta), by angle:
| 2θ/deg | intensity |
| --- | --- |
| 18.53 | 100 |
| 19.53 | 84 |
| 19.69 | 52 |
| 25.28 | 30 |
| 35.44 | 28 |
| 35.54 | 29 |
| 36.06 | 56 |
| 36.28 | 38 |
| 39.66 | 32 |
| 45.06 | 53 |
| 45.55 | 33 |
| 62.95 | 42 |